No. 1
# InSnHg2Br4
Calculated powder XRD pattern, a wavelength of 1.5418 Å. Input: a cell relaxed with GGA-PBE.
Kinematic intensities with the Lorentz-polarization factor, no thermal factor.

Top 10 peaks for 15 to 90 degrees two-theta, sorted by position:
| Position (°2θ) | d [Å] | I_rel |
| --- | --- | --- |
| 16.0 | 5.533 | 100 |
| 24.2 | 3.673 | 35 |
| 28.4 | 3.140 | 76 |
| 30.4 | 2.942 | 51 |
| 32.4 | 2.767 | 43 |
| 34.5 | 2.598 | 32 |
| 36.7 | 2.449 | 39 |
| 42.1 | 2.147 | 53 |
| 45.0 | 2.015 | 34 |
| 48.3 | 1.883 | 29 |

Cell and atoms:
```
data_InSnHg2Br4
_chemical_formula_sum 'In1 Sn1 Hg2 Br4'
_cell_length_a 5.884
_cell_length_b 7.959
_cell_length_c 7.963
_cell_angle_alpha 76.19
_cell_angle_beta 68.32
_cell_angle_gamma 68.35
_space_group_name_H-M_alt 'P 1'
_space_group_IT_number 1
loop_
_space_group_symop_operation_xyz
'x,y,z'
loop_
_atom_site_label
_atom_site_type_symbol
_atom_site_fract_x
_atom_site_fract_y
_atom_site_fract_z
In1 In 0.000 0.000 0.000
Sn1 Sn 0.501 0.332 0.668
Hg1 Hg 0.000 0.667 0.328
Hg2 Hg 0.500 0.670 0.325
Br1 Br 0.253 0.666 0.828
Br2 Br 0.497 0.044 0.962
Br3 Br 0.748 0.164 0.340
Br4 Br 0.999 0.308 0.694
```

No. 2
# VZn8Ga2
Calculated powder XRD pattern, a wavelength of 1.5418 Å. Input: a cell relaxed with GGA-PBE.
Kinematic intensities with the Lorentz-polarization factor, no thermal factor.

Top 10 peaks for 15 to 90 degrees two-theta, sorted by position:
| Position (°2θ) | d [Å] | I_rel |
| --- | --- | --- |
| 34.7 | 2.583 | 17 |
| 35.1 | 2.558 | 46 |
| 40.3 | 2.237 | 27 |
| 40.6 | 2.221 | 31 |
| 42.1 | 2.148 | 100 |
| 42.2 | 2.143 | 63 |
| 47.0 | 1.933 | 40 |
| 71.5 | 1.320 | 19 |
| 73.3 | 1.292 | 26 |
| 83.9 | 1.153 | 20 |

Cell and atoms:
```
data_VZn8Ga2
_chemical_formula_sum 'V1 Zn8 Ga2'
_cell_length_a 5.167
_cell_length_b 5.167
_cell_length_c 7.675
_cell_angle_alpha 90.00
_cell_angle_beta 90.00
_cell_angle_gamma 120.00
_space_group_name_H-M_alt 'P 1'
_space_group_IT_number 1
loop_
_space_group_symop_operation_xyz
'x,y,z'
loop_
_atom_site_label
_atom_site_type_symbol
_atom_site_fract_x
_atom_site_fract_y
_atom_site_fract_z
V1 V 0.000 0.000 0.000
Zn1 Zn 0.165 0.330 0.303
Zn2 Zn 0.165 0.835 0.303
Zn3 Zn 0.330 0.165 0.697
Zn4 Zn 0.333 0.667 0.594
Zn5 Zn 0.667 0.333 0.406
Zn6 Zn 0.670 0.835 0.303
Zn7 Zn 0.835 0.165 0.697
Zn8 Zn 0.835 0.670 0.697
Ga1 Ga 0.333 0.667 0.980
Ga2 Ga 0.667 0.333 0.020
```

No. 3
# Pr2Ho3Tm
Calculated powder XRD pattern, a wavelength of 1.5418 Å. Input: a cell relaxed with GGA-PBE.
Kinematic intensities with the Lorentz-polarization factor, no thermal factor.

Top 10 peaks for 15 to 90 degrees two-theta, sorted by position:
| Position (°2θ) | d [Å] | I_rel |
| --- | --- | --- |
| 31.0 | 2.886 | 100 |
| 34.2 | 2.620 | 18 |
| 35.2 | 2.547 | 19 |
| 38.2 | 2.353 | 14 |
| 49.9 | 1.826 | 13 |
| 53.0 | 1.729 | 11 |
| 59.2 | 1.561 | 6 |
| 59.4 | 1.557 | 8 |
| 60.6 | 1.528 | 16 |
| 64.7 | 1.440 | 11 |

Cell and atoms:
```
data_Pr2Ho3Tm
_chemical_formula_sum 'Pr4 Ho6 Tm2'
_cell_length_a 10.087
_cell_length_b 10.087
_cell_length_c 8.214
_cell_angle_alpha 91.29
_cell_angle_beta 91.29
_cell_angle_gamma 29.26
_space_group_name_H-M_alt 'P 1'
_space_group_IT_number 1
loop_
_space_group_symop_operation_xyz
'x,y,z'
loop_
_atom_site_label
_atom_site_type_symbol
_atom_site_fract_x
_atom_site_fract_y
_atom_site_fract_z
Pr1 Pr 0.103 0.103 0.433
Pr2 Pr 0.353 0.353 0.264
Pr3 Pr 0.647 0.647 0.736
Pr4 Pr 0.897 0.897 0.567
Ho1 Ho 0.192 0.192 0.052
Ho2 Ho 0.266 0.266 0.650
Ho3 Ho 0.426 0.426 0.873
Ho4 Ho 0.574 0.574 0.127
Ho5 Ho 0.734 0.734 0.350
Ho6 Ho 0.808 0.808 0.948
Tm1 Tm 0.044 0.044 0.844
Tm2 Tm 0.956 0.956 0.156
```

No. 4
# Ac3La2Tb3
Calculated powder XRD pattern, a wavelength of 1.5418 Å. Input: a cell relaxed with GGA-PBE.
Kinematic intensities with the Lorentz-polarization factor, no thermal factor.

Top 10 peaks for 15 to 90 degrees two-theta, sorted by position:
| Position (°2θ) | d [Å] | I_rel |
| --- | --- | --- |
| 26.0 | 3.424 | 18 |
| 26.6 | 3.347 | 28 |
| 29.7 | 3.007 | 100 |
| 30.3 | 2.952 | 14 |
| 31.4 | 2.845 | 37 |
| 48.3 | 1.886 | 27 |
| 49.0 | 1.859 | 14 |
| 55.6 | 1.654 | 13 |
| 58.7 | 1.573 | 17 |
| 60.7 | 1.525 | 13 |

Cell and atoms:
```
data_Ac3La2Tb3
_chemical_formula_sum 'Ac6 La4 Tb6'
_cell_length_a 10.224
_cell_length_b 10.224
_cell_length_c 6.848
_cell_angle_alpha 90.00
_cell_angle_beta 90.00
_cell_angle_gamma 120.00
_space_group_name_H-M_alt 'P 1'
_space_group_IT_number 1
loop_
_space_group_symop_operation_xyz
'x,y,z'
loop_
_atom_site_label
_atom_site_type_symbol
_atom_site_fract_x
_atom_site_fract_y
_atom_site_fract_z
Ac1 Ac 0.000 0.232 0.250
Ac2 Ac 0.000 0.768 0.750
Ac3 Ac 0.232 0.000 0.250
Ac4 Ac 0.232 0.232 0.750
Ac5 Ac 0.768 0.000 0.750
Ac6 Ac 0.768 0.768 0.250
La1 La 0.333 0.667 0.000
La2 La 0.333 0.667 0.500
La3 La 0.667 0.333 0.000
La4 La 0.667 0.333 0.500
Tb1 Tb 0.000 0.413 0.750
Tb2 Tb 0.000 0.587 0.250
Tb3 Tb 0.413 0.000 0.750
Tb4 Tb 0.413 0.413 0.250
Tb5 Tb 0.587 0.000 0.250
Tb6 Tb 0.587 0.587 0.750
```

No. 5
# Tm8Bi4CSe3
Calculated powder XRD pattern, a wavelength of 1.5418 Å. Input: a cell relaxed with GGA-PBE.
Kinematic intensities with the Lorentz-polarization factor, no thermal factor.

Top 10 peaks for 15 to 90 degrees two-theta, sorted by position:
| Position (°2θ) | d [Å] | I_rel |
| --- | --- | --- |
| 25.3 | 3.516 | 13 |
| 30.3 | 2.947 | 100 |
| 33.0 | 2.714 | 17 |
| 42.9 | 2.109 | 33 |
| 44.0 | 2.059 | 36 |
| 54.4 | 1.688 | 18 |
| 60.0 | 1.541 | 10 |
| 63.1 | 1.473 | 10 |
| 70.8 | 1.331 | 11 |
| 72.4 | 1.305 | 14 |

Cell and atoms:
```
data_Tm8Bi4CSe3
_chemical_formula_sum 'Tm8 Bi4 C1 Se3'
_cell_length_a 8.441
_cell_length_b 8.441
_cell_length_c 8.441
_cell_angle_alpha 58.41
_cell_angle_beta 58.41
_cell_angle_gamma 58.41
_space_group_name_H-M_alt 'P 1'
_space_group_IT_number 1
loop_
_space_group_symop_operation_xyz
'x,y,z'
loop_
_atom_site_label
_atom_site_type_symbol
_atom_site_fract_x
_atom_site_fract_y
_atom_site_fract_z
Tm1 Tm 0.243 0.243 0.243
Tm2 Tm 0.270 0.719 0.719
Tm3 Tm 0.281 0.281 0.730
Tm4 Tm 0.281 0.730 0.281
Tm5 Tm 0.719 0.270 0.719
Tm6 Tm 0.719 0.719 0.270
Tm7 Tm 0.730 0.281 0.281
Tm8 Tm 0.757 0.757 0.757
Bi1 Bi 0.000 0.000 0.000
Bi2 Bi 0.000 0.500 0.500
Bi3 Bi 0.500 0.000 0.500
Bi4 Bi 0.500 0.500 0.000
C1 C 0.500 0.500 0.500
Se1 Se 0.000 0.000 0.500
Se2 Se 0.000 0.500 0.000
Se3 Se 0.500 0.000 0.000
```

No. 6
# Ba4Tl13Hg3
Calculated powder XRD pattern, a wavelength of 1.5418 Å. Input: a cell relaxed with GGA-PBE.
Kinematic intensities with the Lorentz-polarization factor, no thermal factor.

Top 10 peaks for 15 to 90 degrees two-theta, sorted by position:
| Position (°2θ) | d [Å] | I_rel |
| --- | --- | --- |
| 29.0 | 3.081 | 100 |
| 29.1 | 3.068 | 24 |
| 30.0 | 2.980 | 100 |
| 32.0 | 2.795 | 25 |
| 32.5 | 2.753 | 25 |
| 34.3 | 2.615 | 76 |
| 36.1 | 2.487 | 28 |
| 37.6 | 2.390 | 25 |
| 38.2 | 2.353 | 23 |
| 54.6 | 1.681 | 26 |

Cell and atoms:
```
data_Ba4Tl13Hg3
_chemical_formula_sum 'Ba4 Tl13 Hg3'
_cell_length_a 6.766
_cell_length_b 6.766
_cell_length_c 20.421
_cell_angle_alpha 99.69
_cell_angle_beta 99.69
_cell_angle_gamma 45.47
_space_group_name_H-M_alt 'P 1'
_space_group_IT_number 1
loop_
_space_group_symop_operation_xyz
'x,y,z'
loop_
_atom_site_label
_atom_site_type_symbol
_atom_site_fract_x
_atom_site_fract_y
_atom_site_fract_z
Ba1 Ba 0.000 0.000 0.000
Ba2 Ba 0.364 0.364 0.702
Ba3 Ba 0.501 0.501 0.494
Ba4 Ba 0.863 0.863 0.200
Tl1 Tl 0.047 0.047 0.623
Tl2 Tl 0.053 0.053 0.370
Tl3 Tl 0.079 0.079 0.786
Tl4 Tl 0.155 0.155 0.182
Tl5 Tl 0.210 0.210 0.513
Tl6 Tl 0.282 0.282 0.915
Tl7 Tl 0.310 0.310 0.325
Tl8 Tl 0.552 0.552 0.873
Tl9 Tl 0.580 0.580 0.284
Tl10 Tl 0.659 0.659 0.685
Tl11 Tl 0.707 0.707 0.017
Tl12 Tl 0.789 0.789 0.414
Tl13 Tl 0.815 0.815 0.829
Hg1 Hg 0.314 0.314 0.075
Hg2 Hg 0.548 0.548 0.124
Hg3 Hg 0.808 0.808 0.575
```

No. 7
# ReIrRu2
Calculated powder XRD pattern, a wavelength of 1.5418 Å. Input: a cell relaxed with GGA-PBE.
Kinematic intensities with the Lorentz-polarization factor, no thermal factor.

Top 10 peaks for 15 to 90 degrees two-theta, sorted by position:
| Position (°2θ) | d [Å] | I_rel |
| --- | --- | --- |
| 38.1 | 2.359 | 5 |
| 40.4 | 2.231 | 100 |
| 40.7 | 2.217 | 33 |
| 47.1 | 1.929 | 65 |
| 68.6 | 1.367 | 21 |
| 69.0 | 1.361 | 21 |
| 82.8 | 1.166 | 13 |
| 83.0 | 1.164 | 25 |
| 83.3 | 1.160 | 12 |
| 87.4 | 1.116 | 11 |

Cell and atoms:
```
data_ReIrRu2
_chemical_formula_sum 'Re3 Ir3 Ru6'
_cell_length_a 2.735
_cell_length_b 2.735
_cell_length_c 26.608
_cell_angle_alpha 90.00
_cell_angle_beta 90.00
_cell_angle_gamma 120.00
_space_group_name_H-M_alt 'P 1'
_space_group_IT_number 1
loop_
_space_group_symop_operation_xyz
'x,y,z'
loop_
_atom_site_label
_atom_site_type_symbol
_atom_site_fract_x
_atom_site_fract_y
_atom_site_fract_z
Re1 Re 0.000 0.000 0.000
Re2 Re 0.333 0.667 0.667
Re3 Re 0.667 0.333 0.333
Ir1 Ir 0.000 0.000 0.750
Ir2 Ir 0.333 0.667 0.417
Ir3 Ir 0.667 0.333 0.083
Ru1 Ru 0.000 0.000 0.250
Ru2 Ru 0.000 0.000 0.501
Ru3 Ru 0.333 0.667 0.168
Ru4 Ru 0.333 0.667 0.916
Ru5 Ru 0.667 0.333 0.583
Ru6 Ru 0.667 0.333 0.834
```

No. 8
# TaCr2Cl
Calculated powder XRD pattern, a wavelength of 1.5418 Å. Input: a cell relaxed with GGA-PBE.
Kinematic intensities with the Lorentz-polarization factor, no thermal factor.

Top 10 peaks for 15 to 90 degrees two-theta, sorted by position:
| Position (°2θ) | d [Å] | I_rel |
| --- | --- | --- |
| 23.3 | 3.813 | 14 |
| 30.3 | 2.954 | 24 |
| 32.5 | 2.755 | 32 |
| 38.6 | 2.335 | 100 |
| 43.3 | 2.089 | 45 |
| 45.0 | 2.015 | 19 |
| 47.2 | 1.927 | 38 |
| 62.9 | 1.477 | 14 |
| 76.3 | 1.248 | 25 |
| 82.2 | 1.172 | 15 |

Cell and atoms:
```
data_TaCr2Cl
_chemical_formula_sum 'Ta1 Cr2 Cl1'
_cell_length_a 2.954
_cell_length_b 2.954
_cell_length_c 7.626
_cell_angle_alpha 90.00
_cell_angle_beta 90.00
_cell_angle_gamma 90.00
_space_group_name_H-M_alt 'P 1'
_space_group_IT_number 1
loop_
_space_group_symop_operation_xyz
'x,y,z'
loop_
_atom_site_label
_atom_site_type_symbol
_atom_site_fract_x
_atom_site_fract_y
_atom_site_fract_z
Ta1 Ta 0.000 0.000 0.000
Cr1 Cr 0.000 0.000 0.606
Cr2 Cr 0.500 0.500 0.766
Cl1 Cl 0.500 0.500 0.236
```

No. 9
# Br2O4F3
Calculated powder XRD pattern, a wavelength of 1.5418 Å. Input: a cell relaxed with GGA-PBE.
Kinematic intensities with the Lorentz-polarization factor, no thermal factor.

Top 10 peaks for 15 to 90 degrees two-theta, sorted by position:
| Position (°2θ) | d [Å] | I_rel |
| --- | --- | --- |
| 17.6 | 5.025 | 92 |
| 18.3 | 4.845 | 70 |
| 19.5 | 4.556 | 100 |
| 21.9 | 4.060 | 22 |
| 25.9 | 3.435 | 41 |
| 26.5 | 3.363 | 43 |
| 28.8 | 3.102 | 55 |
| 35.7 | 2.516 | 30 |
| 37.2 | 2.419 | 24 |
| 39.6 | 2.278 | 20 |

Cell and atoms:
```
data_Br2O4F3
_chemical_formula_sum 'Br2 O4 F3'
_cell_length_a 3.681
_cell_length_b 5.444
_cell_length_c 9.491
_cell_angle_alpha 97.35
_cell_angle_beta 101.08
_cell_angle_gamma 109.34
_space_group_name_H-M_alt 'P 1'
_space_group_IT_number 1
loop_
_space_group_symop_operation_xyz
'x,y,z'
loop_
_atom_site_label
_atom_site_type_symbol
_atom_site_fract_x
_atom_site_fract_y
_atom_site_fract_z
Br1 Br 0.022 0.111 0.232
Br2 Br 0.978 0.889 0.768
O1 O 0.109 0.632 0.782
O2 O 0.358 0.147 0.765
O3 O 0.642 0.853 0.235
O4 O 0.891 0.368 0.218
F1 F 0.000 0.000 0.000
F2 F 0.300 0.204 0.427
F3 F 0.700 0.796 0.573
```

No. 10
# RbLiHfTe3
Calculated powder XRD pattern, a wavelength of 1.5418 Å. Input: a cell relaxed with GGA-PBE.
Kinematic intensities with the Lorentz-polarization factor, no thermal factor.

Top 10 peaks for 15 to 90 degrees two-theta, sorted by position:
| Position (°2θ) | d [Å] | I_rel |
| --- | --- | --- |
| 19.6 | 4.521 | 18 |
| 27.1 | 3.291 | 35 |
| 28.0 | 3.192 | 100 |
| 28.8 | 3.101 | 32 |
| 32.1 | 2.787 | 18 |
| 34.9 | 2.571 | 17 |
| 40.7 | 2.215 | 29 |
| 42.4 | 2.132 | 27 |
| 45.8 | 1.983 | 27 |
| 50.0 | 1.823 | 19 |

Cell and atoms:
```
data_RbLiHfTe3
_chemical_formula_sum 'Rb2 Li2 Hf2 Te6'
_cell_length_a 9.688
_cell_length_b 4.263
_cell_length_c 10.576
_cell_angle_alpha 90.00
_cell_angle_beta 111.04
_cell_angle_gamma 90.00
_space_group_name_H-M_alt 'P 1'
_space_group_IT_number 1
loop_
_space_group_symop_operation_xyz
'x,y,z'
loop_
_atom_site_label
_atom_site_type_symbol
_atom_site_fract_x
_atom_site_fract_y
_atom_site_fract_z
Rb1 Rb 0.224 0.250 0.264
Rb2 Rb 0.776 0.750 0.736
Li1 Li 0.077 0.250 0.603
Li2 Li 0.923 0.750 0.397
Hf1 Hf 0.318 0.750 0.841
Hf2 Hf 0.682 0.250 0.159
Te1 Te 0.127 0.250 0.873
Te2 Te 0.229 0.750 0.556
Te3 Te 0.465 0.750 0.142
Te4 Te 0.535 0.250 0.858
Te5 Te 0.771 0.250 0.444
Te6 Te 0.873 0.750 0.127
```

No. 11
# MoAsRu2
Calculated powder XRD pattern, a wavelength of 1.5418 Å. Input: a cell relaxed with GGA-PBE.
Kinematic intensities with the Lorentz-polarization factor, no thermal factor.

Top 10 peaks for 15 to 90 degrees two-theta, sorted by position:
| Position (°2θ) | d [Å] | I_rel |
| --- | --- | --- |
| 33.4 | 2.683 | 3 |
| 40.7 | 2.219 | 100 |
| 43.9 | 2.062 | 42 |
| 53.6 | 1.710 | 10 |
| 60.5 | 1.529 | 2 |
| 63.8 | 1.458 | 13 |
| 71.7 | 1.316 | 16 |
| 77.0 | 1.239 | 3 |
| 78.5 | 1.219 | 28 |
| 88.0 | 1.110 | 9 |

Cell and atoms:
```
data_MoAsRu2
_chemical_formula_sum 'Mo1 As1 Ru2'
_cell_length_a 2.916
_cell_length_b 2.916
_cell_length_c 6.841
_cell_angle_alpha 90.00
_cell_angle_beta 90.00
_cell_angle_gamma 90.00
_space_group_name_H-M_alt 'P 1'
_space_group_IT_number 1
loop_
_space_group_symop_operation_xyz
'x,y,z'
loop_
_atom_site_label
_atom_site_type_symbol
_atom_site_fract_x
_atom_site_fract_y
_atom_site_fract_z
Mo1 Mo 0.000 0.000 0.000
As1 As 0.000 0.000 0.500
Ru1 Ru 0.500 0.500 0.273
Ru2 Ru 0.500 0.500 0.727
```